The following is a calculated XRD peak list of NaLa8Se12. It was derived from a DFT-relaxed cell (PBE, the Materials Project), using Cu Ka.

Peak list (8 most intense, 10 to 80 degrees two-theta, low angle first)
index	d [Å]	I_rel
1 1 6	3.716	19
3 1 0	2.878	100
2 1 9	2.433	67
4 0 6	2.035	21
3 2 9	1.941	14
3 1 12	1.785	18
1 1 18	1.477	14
6 1 3	1.476	15

Cell lengths 9.0969, 9.0969, 27.3404 Å; angles 90.00, 90.00, 90.00 degrees
Space group I-42d (No. 122)
Symmetry-distinct sites (fractional):
Na (0.0000, 0.0000, 0.0000) (multiplicity 4)
La (0.0000, 0.0000, 0.3332) (multiplicity 8)
La (0.1201, 0.7500, 0.1250) (multiplicity 8)
La (0.1311, 0.7464, 0.4598) (multiplicity 16)
Se (0.0742, 0.6745, 0.6832) (multiplicity 16)
Se (0.0737, 0.6792, 0.3529) (multiplicity 16)
Se (0.0772, 0.6737, 0.0161) (multiplicity 16)